[1]
# Mg3Fe2N4
Computed powder diffraction line list, Cu Kα X-rays. Input: DFT lattice parameters and positions (GGA-PBE).
Lines closer than 0.1° are merged.

Largest 8 diffraction maxima, by angle, 2θ from 10° to 90°:
2θ/deg	Rel. int.
18.46	31.8
22.83	21.2
34.94	100.0
38.13	26.5
48.03	25.5
48.86	20.7
49.15	19.6
51.61	16.0

Cell and atoms:
Lattice parameters (Å, degrees): 6.122 6.122 5.130 90.38 90.38 76.49
Fractional coordinates of all 18 atoms:
Mg1 0.104 0.896 0.750
Mg2 0.256 0.514 0.452
Mg3 0.486 0.744 0.048
Mg4 0.514 0.256 0.952
Mg5 0.744 0.486 0.548
Mg6 0.896 0.104 0.250
Fe1 0.076 0.329 0.893
Fe2 0.329 0.076 0.393
Fe3 0.671 0.924 0.607
Fe4 0.924 0.671 0.107
N1 0.074 0.240 0.554
N2 0.224 0.563 0.982
N3 0.240 0.074 0.054
N4 0.437 0.776 0.518
N5 0.563 0.224 0.482
N6 0.760 0.926 0.946
N7 0.776 0.437 0.018
N8 0.926 0.760 0.446

[2]
# HgPd3Pb5
Computed powder diffraction line list, Cu Kα X-rays. Input: DFT lattice parameters and positions (GGA-PBE).
Lines closer than 0.1° are merged.

Largest 8 diffraction maxima, by angle, 2θ from 10° to 90°:
2θ/deg	Rel. int.
25.98	95.6
32.09	48.4
32.53	97.8
35.04	57.5
36.29	100.0
36.87	53.7
41.40	62.3
43.80	48.7

Cell and atoms:
Lattice parameters (Å, degrees): 7.201 7.201 10.273 107.58 107.58 86.86
Fractional coordinates of all 18 atoms:
Hg1 0.244 0.244 0.245
Hg2 0.756 0.756 0.755
Pd1 0.000 0.000 0.000
Pd2 0.013 0.013 0.712
Pd3 0.497 0.497 0.222
Pd4 0.500 0.500 0.500
Pd5 0.503 0.503 0.778
Pd6 0.987 0.987 0.288
Pb1 0.163 0.695 0.122
Pb2 0.220 0.780 0.500
Pb3 0.241 0.241 0.552
Pb4 0.305 0.837 0.878
Pb5 0.312 0.312 0.908
Pb6 0.688 0.688 0.092
Pb7 0.695 0.163 0.122
Pb8 0.759 0.759 0.448
Pb9 0.780 0.220 0.500
Pb10 0.837 0.305 0.878

[3]
# Cs4RbCu3Cl12
Computed powder diffraction line list, Cu Kα X-rays. Input: DFT lattice parameters and positions (GGA-PBE).
Lines closer than 0.1° are merged.

Largest 8 diffraction maxima, by angle, 2θ from 10° to 90°:
2θ/deg	Rel. int.
23.97	100.0
29.47	34.3
34.15	62.6
42.16	41.1
49.08	39.8
55.33	23.6
66.65	24.7
82.09	15.3

Cell and atoms:
Lattice parameters (Å, degrees): 9.094 9.094 9.094 109.47 109.47 109.47
Fractional coordinates of all 20 atoms:
Cs1 0.000 0.000 0.500
Cs2 0.000 0.500 0.000
Cs3 0.500 0.000 0.000
Cs4 0.500 0.500 0.500
Rb1 0.000 0.000 0.000
Cu1 0.000 0.500 0.500
Cu2 0.500 0.000 0.500
Cu3 0.500 0.500 0.000
Cl1 0.000 0.290 0.290
Cl2 0.000 0.710 0.710
Cl3 0.250 0.500 0.750
Cl4 0.250 0.750 0.500
Cl5 0.290 0.000 0.290
Cl6 0.290 0.290 0.000
Cl7 0.500 0.250 0.750
Cl8 0.500 0.750 0.250
Cl9 0.710 0.000 0.710
Cl10 0.710 0.710 0.000
Cl11 0.750 0.250 0.500
Cl12 0.750 0.500 0.250